Starting from a DFT-relaxed cell (GGA-PBE, Alexandria), the XRD peak list of SrMnIn2Br6 was simulated for Cu Kα X-rays.

The 10 most intense peaks (2θ = 10–90°), by angle:
- 2θ = 22.2°, intensity 21
- 2θ = 26.4°, intensity 100
- 2θ = 27.4°, intensity 49
- 2θ = 32.0°, intensity 84
- 2θ = 34.5°, intensity 22
- 2θ = 36.3°, intensity 26
- 2θ = 38.9°, intensity 39
- 2θ = 39.3°, intensity 21
- 2θ = 42.0°, intensity 28
- 2θ = 61.4°, intensity 21

Cell and atoms:
Cell lengths 7.8025, 7.8025, 7.8025 Å; angles 61.83, 61.83, 61.83 degrees
Atoms (fractional coordinates):
Sr (0.0000, 0.0000, 0.0000)
Mn (0.5000, 0.5000, 0.5000)
In (0.2849, 0.2849, 0.2849)
In (0.7151, 0.7151, 0.7151)
Br (0.1799, 0.7182, 0.3530)
Br (0.2818, 0.6470, 0.8201)
Br (0.3530, 0.1799, 0.7182)
Br (0.6470, 0.8201, 0.2818)
Br (0.7182, 0.3530, 0.1799)
Br (0.8201, 0.2818, 0.6470)